No. 1
For Sc3AgS, the PBE geometry in OQMD gives the simulated XRD peak list in this record (Cu Kα X-rays).
Peak positions follow from Bragg's law for the DFT cell and can differ from measured ones.

The 6 most intense peaks (2θ = 10–90°), by angle:
2θ = 26.3°, 3.392 Å, rel. 38; 2θ = 26.9°, 3.311 Å, rel. 52; 2θ = 32.6°, 2.747 Å, rel. 100; 2θ = 36.5°, 2.460 Å, rel. 46; 2θ = 38.5°, 2.341 Å, rel. 49; 2θ = 47.2°, 1.927 Å, rel. 43

Structure:
```
Sc3AgS
1.0
5.927 -3.311 0.000
5.927 3.311 0.000
-3.692 0.000 5.497
Sc Ag S
6 2 2
Cartesian
2.334 0.503 0.966
3.159 1.682 4.123
0.488 -0.503 3.714
7.675 0.503 1.783
5.005 -1.682 1.374
5.830 -0.503 4.531
5.005 1.661 1.374
3.159 -1.661 4.123
1.118 1.655 2.748
2.964 -1.655 0.000
```



No. 2
For BaMg2CdHg, the PBE geometry in OQMD gives the simulated XRD peak list in this record (Cu Kα X-rays).
Peak positions follow from Bragg's law for the DFT cell and can differ from measured ones.

The 6 most intense peaks (2θ = 10–90°), by angle:
2θ = 26.7°, 3.335 Å, rel. 85; 2θ = 27.8°, 3.204 Å, rel. 100; 2θ = 38.2°, 2.358 Å, rel. 53; 2θ = 39.3°, 2.290 Å, rel. 67; 2θ = 47.9°, 1.899 Å, rel. 45; 2θ = 56.0°, 1.643 Å, rel. 47

Structure:
```
BaMg2CdHg
1.0
-2.358 2.358 6.548
2.358 -2.358 6.548
2.358 2.358 -6.548
Ba Mg Cd Hg
1 2 1 1
Cartesian
0.000 0.000 0.000
2.358 0.000 3.307
0.000 2.358 3.307
0.000 0.000 8.068
0.000 0.000 5.041
```



No. 3
For LaZrO3, the PBE geometry in OQMD gives the simulated XRD peak list in this record (Cu Kα X-rays).
Peak positions follow from Bragg's law for the DFT cell and can differ from measured ones.

The 6 most intense peaks (2θ = 10–90°), by angle:
2θ = 30.4°, 2.939 Å, rel. 100; 2θ = 43.5°, 2.078 Å, rel. 31; 2θ = 54.0°, 1.698 Å, rel. 30; 2θ = 54.1°, 1.695 Å, rel. 10; 2θ = 71.8°, 1.314 Å, rel. 17; 2θ = 87.8°, 1.112 Å, rel. 10

Structure:
```
LaZrO3
1.0
2.941 1.698 2.396
-2.941 1.698 2.396
0.000 -3.396 2.396
La Zr O
1 1 3
Cartesian
0.000 0.000 0.000
0.000 0.000 3.594
-1.471 -0.849 2.396
-1.471 0.849 4.792
0.000 1.698 2.396
```



No. 4
For InAu3S5, the PBE geometry in OQMD gives the simulated XRD peak list in this record (Cu Kα X-rays).
Peak positions follow from Bragg's law for the DFT cell and can differ from measured ones.

The 6 most intense peaks (2θ = 10–90°), by angle:
2θ = 10.6°, 8.360 Å, rel. 100; 2θ = 21.3°, 4.180 Å, rel. 82; 2θ = 21.6°, 4.118 Å, rel. 42; 2θ = 38.0°, 2.366 Å, rel. 45; 2θ = 39.6°, 2.276 Å, rel. 55; 2θ = 44.0°, 2.059 Å, rel. 71

Structure:
```
InAu3S5
1.0
5.463 0.000 0.000
-2.732 4.731 0.000
0.000 0.000 8.360
In Au S
1 3 5
Cartesian
0.000 0.000 0.000
-1.366 2.366 4.180
2.732 0.000 4.180
1.366 2.366 4.180
0.000 0.000 4.180
0.000 3.154 0.973
0.000 3.154 7.387
2.732 1.577 0.973
2.732 1.577 7.387
```



No. 5
For CsH3Au, the PBE geometry in OQMD gives the simulated XRD peak list in this record (Cu Kα X-rays).
Peak positions follow from Bragg's law for the DFT cell and can differ from measured ones.

The 6 most intense peaks (2θ = 10–90°), by angle:
2θ = 28.2°, 3.169 Å, rel. 100; 2θ = 28.4°, 3.144 Å, rel. 49; 2θ = 40.6°, 2.223 Å, rel. 19; 2θ = 49.7°, 1.835 Å, rel. 16; 2θ = 50.1°, 1.820 Å, rel. 31; 2θ = 50.2°, 1.818 Å, rel. 10

Structure:
```
CsH3Au
1.0
5.497 -3.143 0.000
5.497 3.143 0.000
-3.583 0.000 5.168
Cs H Au
2 6 2
Cartesian
1.855 0.000 1.288
5.557 0.000 3.881
4.375 1.965 1.615
3.037 1.965 3.553
0.549 0.000 4.201
6.863 0.000 0.967
4.375 -1.965 1.615
3.037 -1.965 3.553
-1.792 0.000 2.584
5.497 0.000 0.000
```



No. 6
For Dy2ZnTe2S2O14, the PBE geometry in OQMD gives the simulated XRD peak list in this record (Cu Kα X-rays).
Peak positions follow from Bragg's law for the DFT cell and can differ from measured ones.

The 6 most intense peaks (2θ = 10–90°), by angle:
2θ = 13.6°, 6.526 Å, rel. 65; 2θ = 24.8°, 3.594 Å, rel. 88; 2θ = 25.1°, 3.555 Å, rel. 73; 2θ = 25.8°, 3.454 Å, rel. 100; 2θ = 30.8°, 2.906 Å, rel. 77; 2θ = 35.6°, 2.521 Å, rel. 67

Structure:
```
Dy2ZnTe2S2O14
1.0
5.212 0.000 0.000
0.678 7.709 0.000
2.277 3.396 6.858
Dy Zn Te S O
2 1 2 2 14
Cartesian
0.569 2.002 0.105
7.597 9.103 6.753
1.138 1.698 3.429
4.560 7.851 4.476
3.607 3.254 2.382
2.407 6.631 1.753
5.760 4.475 5.106
1.667 5.346 1.756
2.236 7.354 3.029
1.794 7.405 0.616
3.708 7.344 6.103
3.502 9.470 4.549
2.119 2.323 1.663
4.314 4.704 5.313
3.853 6.402 1.545
6.048 8.782 5.196
4.665 1.636 2.309
4.459 3.761 0.755
6.373 3.701 6.242
5.931 3.752 3.829
6.499 5.759 5.102
```



No. 7
For TbGd2Sn2Pb5, the PBE geometry in OQMD gives the simulated XRD peak list in this record (Cu Kα X-rays).
Peak positions follow from Bragg's law for the DFT cell and can differ from measured ones.

The 6 most intense peaks (2θ = 10–90°), by angle:
2θ = 32.1°, 2.786 Å, rel. 100; 2θ = 34.8°, 2.580 Å, rel. 18; 2θ = 38.2°, 2.353 Å, rel. 16; 2θ = 38.7°, 2.327 Å, rel. 16; 2θ = 65.3°, 1.428 Å, rel. 13; 2θ = 65.9°, 1.417 Å, rel. 13

Structure:
```
TbGd2Sn2Pb5
1.0
2.353 -12.902 0.000
2.353 12.902 0.000
0.000 0.000 4.654
Tb Gd Sn Pb
1 2 2 5
Cartesian
0.000 0.000 0.000
2.353 8.075 0.000
2.353 -8.075 0.000
2.353 10.397 2.327
2.353 -10.397 2.327
2.353 5.326 2.327
2.353 2.495 0.000
2.353 0.000 2.327
2.353 -2.495 0.000
2.353 -5.326 2.327
```



No. 8
For MgTa, the PBE geometry in OQMD gives the simulated XRD peak list in this record (Cu Kα X-rays).
Peak positions follow from Bragg's law for the DFT cell and can differ from measured ones.

The 6 most intense peaks (2θ = 10–90°), by angle:
2θ = 19.0°, 4.682 Å, rel. 29; 2θ = 27.0°, 3.300 Å, rel. 29; 2θ = 33.5°, 2.675 Å, rel. 28; 2θ = 37.4°, 2.402 Å, rel. 38; 2θ = 38.5°, 2.337 Å, rel. 100; 2θ = 39.5°, 2.284 Å, rel. 49

Structure:
```
MgTa
1.0
4.804 0.000 0.000
0.000 9.364 0.000
0.000 0.000 5.193
Mg Ta
6 6
Cartesian
0.000 0.755 0.000
0.000 3.867 5.100
0.000 5.497 2.504
0.000 8.609 2.596
2.402 3.885 1.682
2.402 5.479 4.278
0.000 2.261 2.574
0.000 7.103 5.170
2.402 0.829 1.779
2.402 2.109 4.191
2.402 7.255 1.595
2.402 8.535 4.375
```



No. 9
For NdSiAs3Pd6, the PBE geometry in OQMD gives the simulated XRD peak list in this record (Cu Kα X-rays).
Peak positions follow from Bragg's law for the DFT cell and can differ from measured ones.

The 6 most intense peaks (2θ = 10–90°), by angle:
2θ = 36.2°, 2.483 Å, rel. 100; 2θ = 37.4°, 2.405 Å, rel. 27; 2θ = 44.0°, 2.057 Å, rel. 26; 2θ = 45.7°, 1.985 Å, rel. 22; 2θ = 49.6°, 1.837 Å, rel. 22; 2θ = 69.8°, 1.348 Å, rel. 16

Structure:
```
NdSiAs3Pd6
1.0
7.348 0.000 0.000
-3.674 6.363 0.000
0.000 0.000 3.970
Nd Si As Pd
1 1 3 6
Cartesian
0.000 0.000 0.000
0.000 4.242 0.000
2.077 1.199 1.985
5.271 1.199 1.985
3.674 3.965 1.985
0.000 2.588 1.985
-1.432 5.069 1.985
3.674 0.401 0.000
2.185 2.981 0.000
1.432 5.069 1.985
5.163 2.981 0.000
```



No. 10
For CuSb6S8I4, the PBE geometry in OQMD gives the simulated XRD peak list in this record (Cu Kα X-rays).
Peak positions follow from Bragg's law for the DFT cell and can differ from measured ones.

The 6 most intense peaks (2θ = 10–90°), by angle:
2θ = 14.1°, 6.294 Å, rel. 97; 2θ = 28.4°, 3.143 Å, rel. 55; 2θ = 28.5°, 3.132 Å, rel. 64; 2θ = 29.3°, 3.051 Å, rel. 56; 2θ = 30.7°, 2.913 Å, rel. 58; 2θ = 31.1°, 2.878 Å, rel. 100

Structure:
```
CuSb6S8I4
1.0
7.559 0.000 0.000
-2.837 8.288 0.000
-0.716 -0.447 9.151
Cu Sb S I
1 6 8 4
Cartesian
0.000 0.000 0.000
-0.172 3.094 8.411
-0.801 6.650 2.638
0.901 0.803 5.816
3.105 7.038 3.335
4.807 1.191 6.514
4.178 4.747 0.740
-0.945 2.813 5.913
-1.460 6.310 0.115
0.346 0.273 2.984
1.069 0.900 8.471
2.937 6.941 0.680
3.660 7.568 6.168
5.466 1.531 9.036
4.951 5.028 3.238
-0.207 6.586 5.909
1.331 3.951 2.417
2.675 3.890 6.735
4.213 1.255 3.243
```



No. 11
For Re4O5, the PBE geometry in OQMD gives the simulated XRD peak list in this record (Cu Kα X-rays).
Peak positions follow from Bragg's law for the DFT cell and can differ from measured ones.

The 6 most intense peaks (2θ = 10–90°), by angle:
2θ = 34.5°, 2.597 Å, rel. 100; 2θ = 39.4°, 2.287 Å, rel. 55; 2θ = 41.8°, 2.161 Å, rel. 29; 2θ = 50.5°, 1.807 Å, rel. 30; 2θ = 56.9°, 1.617 Å, rel. 26; 2θ = 68.3°, 1.373 Å, rel. 29

Structure:
```
Re4O5
1.0
3.234 0.000 0.000
0.000 3.234 0.000
0.000 0.000 8.716
Re O
4 5
Cartesian
0.000 0.000 0.000
0.000 0.000 4.358
1.617 1.617 1.481
1.617 1.617 7.235
0.000 1.617 2.752
0.000 1.617 5.964
1.617 0.000 2.752
1.617 0.000 5.964
1.617 1.617 4.358
```